Entry 1:
This entry pairs a crystal structure of Sm3Si2Rh2 with its theoretical XRD peak list. Radiation: Cu Kα (weighted mean of Kα1 and Kα2). Structure: a cell relaxed with GGA-PBE.

Atomic structure:
```
Sm3Si2Rh2
1.0
5.6518 0.0000 0.0000
0.0000 7.9111 0.0000
0.0000 0.0000 13.2773
Sm Si Rh
12 8 8
direct
0.1352 0.1113 0.1025
0.1352 0.1113 0.3975
0.1352 0.3887 0.6025
0.1352 0.3887 0.8975
0.3648 0.7451 0.7500
0.3648 0.7549 0.2500
0.6352 0.2451 0.7500
0.6352 0.2549 0.2500
0.8648 0.6113 0.1025
0.8648 0.6113 0.3975
0.8648 0.8887 0.6025
0.8648 0.8887 0.8975
0.1485 0.0983 0.7500
0.1485 0.4017 0.2500
0.3781 0.7500 0.0000
0.3781 0.7500 0.5000
0.6219 0.2500 0.0000
0.6219 0.2500 0.5000
0.8515 0.5983 0.7500
0.8515 0.9017 0.2500
0.3708 0.0309 0.5902
0.3708 0.0309 0.9098
0.3708 0.4691 0.0902
0.3708 0.4691 0.4098
0.6292 0.5309 0.5902
0.6292 0.5309 0.9098
0.6292 0.9691 0.0902
0.6292 0.9691 0.4098
```

The 12 most intense peaks (2θ = 5–70°), sorted by position:
2θ/deg  d [Å]  I_rel
23.52  3.783  42
26.23  3.398  32
28.35  3.148  23
30.31  2.949  28
33.29  2.691  55
33.68  2.661  46
34.33  2.612  82
35.30  2.543  39
37.64  2.390  54
39.51  2.281  100
40.78  2.213  39
48.78  1.867  24


Entry 2:
This entry pairs a crystal structure of LiCaHS with its theoretical XRD peak list. Radiation: Cu Kα (weighted mean of Kα1 and Kα2). Structure: a cell relaxed with GGA-PBE.

Atomic structure:
```
LiCaHS
1.0
4.6170 0.0000 0.0000
0.0000 4.5570 0.0000
-2.2209 0.0000 4.2593
Li Ca H S
1 1 1 1
direct
0.0000 0.0000 0.0000
0.2702 0.5000 0.5269
0.2295 0.0000 0.4426
0.9370 0.5000 0.8738
```

The 12 most intense peaks (2θ = 5–70°), sorted by position:
2θ/deg  d [Å]  I_rel
19.48  4.557  100
20.86  4.259  20
21.71  4.094  31
22.09  4.024  33
28.69  3.112  22
36.82  2.441  22
37.53  2.397  21
39.03  2.308  21
39.55  2.279  20
41.99  2.152  26
42.62  2.121  25
43.98  2.059  20


Entry 3:
This entry pairs a crystal structure of InFe2Sb with its theoretical XRD peak list. Radiation: Cu Kα (weighted mean of Kα1 and Kα2). Structure: a cell relaxed with GGA-PBE.

Atomic structure:
```
InFe2Sb
1.0
2.9913 0.0000 0.0000
0.0000 4.3992 0.0000
0.0000 0.0000 11.1431
In Fe Sb
2 4 2
direct
0.0000 0.0000 0.0000
0.5000 0.5000 0.5000
0.0000 0.0000 0.4829
0.0000 0.5000 0.1596
0.5000 0.0000 0.6596
0.5000 0.5000 0.9829
0.0000 0.5000 0.7727
0.5000 0.0000 0.2727
```

The 12 most intense peaks (2θ = 5–70°), sorted by position:
2θ/deg  d [Å]  I_rel
21.72  4.092  14
30.95  2.889  15
31.52  2.838  37
32.13  2.786  25
38.65  2.330  11
39.87  2.261  100
41.03  2.200  29
45.63  1.988  11
51.11  1.787  10
53.05  1.726  12
62.04  1.496  11
62.54  1.485  10


Entry 4:
This entry pairs a crystal structure of Ac2Pm3Y3 with its theoretical XRD peak list. Radiation: Cu Kα (weighted mean of Kα1 and Kα2). Structure: a cell relaxed with GGA-PBE.

Atomic structure:
```
Ac2Pm3Y3
1.0
1.9124 -8.7654 0.0000
1.9124 8.7654 0.0000
0.0000 0.0000 17.7574
Ac Pm Y
4 6 6
direct
0.2489 0.7511 0.6050
0.2489 0.7511 0.8950
0.7511 0.2489 0.1050
0.7511 0.2489 0.3950
0.0923 0.9077 0.0406
0.0923 0.9077 0.4594
0.1177 0.8823 0.7500
0.8823 0.1177 0.2500
0.9077 0.0923 0.5406
0.9077 0.0923 0.9594
0.0908 0.9092 0.2500
0.4553 0.5447 0.1187
0.4553 0.5447 0.3813
0.5447 0.4553 0.6187
0.5447 0.4553 0.8813
0.9092 0.0908 0.7500
```

The 12 most intense peaks (2θ = 5–70°), sorted by position:
2θ/deg  d [Å]  I_rel
22.45  3.960  26
24.34  3.657  21
28.32  3.152  51
28.62  3.119  72
30.60  2.922  38
31.29  2.859  45
31.79  2.815  100
34.71  2.585  19
43.10  2.099  30
47.55  1.912  20
56.44  1.630  34
57.01  1.615  27


Entry 5:
This entry pairs a crystal structure of Cs2HgF with its theoretical XRD peak list. Radiation: Cu Kα (weighted mean of Kα1 and Kα2). Structure: a cell relaxed with GGA-PBE.

Atomic structure:
```
Cs2HgF
1.0
3.9842 0.0000 0.0000
-0.0299 4.3583 0.0000
-0.0372 -2.1706 9.0172
Cs Hg F
2 1 1
direct
0.0000 0.0000 0.0000
0.0064 0.3051 0.6127
0.5042 0.6440 0.2902
0.4989 0.8817 0.7555
```

The 12 most intense peaks (2θ = 5–70°), sorted by position:
2θ/deg  d [Å]  I_rel
9.81  9.017  15
24.37  3.652  19
24.48  3.636  21
25.24  3.529  100
29.72  3.006  28
29.84  2.994  29
30.02  2.977  28
30.70  2.912  38
30.91  2.893  38
41.44  2.179  16
46.90  1.937  16
50.10  1.821  12


Entry 6:
This entry pairs a crystal structure of Ce3ScGe3 with its theoretical XRD peak list. Radiation: Cu Kα (weighted mean of Kα1 and Kα2). Structure: a cell relaxed with GGA-PBE.

Atomic structure:
```
Ce3ScGe3
1.0
4.0382 -6.2003 0.0000
4.0382 6.2003 0.0000
-0.5330 0.0000 7.4822
Ce Sc Ge
6 2 6
direct
0.1643 0.8357 0.0000
0.2332 0.7668 0.5000
0.3915 0.3915 0.1339
0.6085 0.6085 0.8661
0.7668 0.2332 0.5000
0.8357 0.1643 0.0000
0.2425 0.2425 0.5971
0.7575 0.7575 0.4029
0.0660 0.0660 0.2815
0.1498 0.4879 0.8010
0.4879 0.1498 0.8010
0.5121 0.8502 0.1990
0.8502 0.5121 0.1990
0.9340 0.9340 0.7185
```

The 12 most intense peaks (2θ = 5–70°), sorted by position:
2θ/deg  d [Å]  I_rel
22.07  4.028  15
24.20  3.678  13
27.37  3.259  51
27.85  3.203  16
29.66  3.012  18
33.84  2.649  16
34.16  2.625  12
34.73  2.583  100
35.45  2.532  21
43.80  2.067  11
45.53  1.992  11
51.02  1.790  21


Entry 7:
This entry pairs a crystal structure of Np6Pd3S14 with its theoretical XRD peak list. Radiation: Cu Kα (weighted mean of Kα1 and Kα2). Structure: a cell relaxed with GGA-PBE.

Atomic structure:
```
Np6Pd3S14
1.0
9.5654 0.0000 0.0000
-4.7827 8.2838 0.0000
0.0000 0.0000 5.7056
Np Pd S
6 3 14
direct
0.0442 0.4865 0.0000
0.2880 0.1842 0.5145
0.4423 0.9558 0.0000
0.5135 0.5577 0.0000
0.8158 0.1038 0.5145
0.8962 0.7120 0.5145
0.0000 0.0000 0.1319
0.3333 0.6667 0.6152
0.6667 0.3333 0.7585
0.0000 0.0000 0.7195
0.1027 0.2674 0.2690
0.1646 0.8973 0.2690
0.1743 0.7730 0.7652
0.2270 0.4014 0.7652
0.3333 0.6667 0.2059
0.4099 0.2251 0.9903
0.5148 0.0817 0.5176
0.5669 0.4852 0.5176
0.5986 0.8257 0.7652
0.7326 0.8354 0.2690
0.7749 0.1848 0.9903
0.8152 0.5901 0.9903
0.9183 0.4331 0.5176
```

The 12 most intense peaks (2θ = 5–70°), sorted by position:
2θ/deg  d [Å]  I_rel
18.89  4.699  34
21.45  4.142  21
24.28  3.665  18
26.59  3.352  100
28.51  3.131  29
31.36  2.853  17
36.14  2.486  27
37.61  2.391  36
38.31  2.349  30
42.41  2.131  21
42.89  2.109  26
53.15  1.723  22


Entry 8:
This entry pairs a crystal structure of TlSb2Te2 with its theoretical XRD peak list. Radiation: Cu Kα (weighted mean of Kα1 and Kα2). Structure: a cell relaxed with GGA-PBE.

Atomic structure:
```
TlSb2Te2
1.0
9.0336 0.0000 0.0000
0.0000 7.6393 0.0000
-2.6387 0.0000 5.2378
Tl Sb Te
2 4 4
direct
0.0000 0.0000 0.0000
0.5000 0.5000 0.0000
0.0000 0.2618 0.5000
0.0000 0.7382 0.5000
0.5000 0.2382 0.5000
0.5000 0.7618 0.5000
0.2302 0.5000 0.3212
0.2698 0.0000 0.6788
0.7302 0.0000 0.3212
0.7698 0.5000 0.6788
```

The 12 most intense peaks (2θ = 5–70°), sorted by position:
2θ/deg  d [Å]  I_rel
15.98  5.547  32
26.78  3.329  87
28.93  3.086  38
31.25  2.862  42
31.48  2.841  100
32.02  2.795  40
33.00  2.714  38
41.28  2.187  32
44.94  2.017  23
49.27  1.849  31
57.31  1.608  23
58.08  1.588  36